Calculated powder XRD pattern of AlH8C3NCl2 for Cu Kα (weighted mean of Kα1 and Kα2), from a cell relaxed with GGA-PBE.
No peak broadening, texture or thermal motion is included.

Structural model:
a = 7.7266 Å, b = 8.1401 Å, c = 8.8484 Å
α = 90.03°, β = 115.23°, γ = 111.91°
Atoms (fractional coordinates):
Al: 0.0561 0.3743 0.0934
Al: 0.9439 0.6257 0.9066
H: 0.0890 0.3918 0.7684
H: 0.1028 0.8326 0.2714
H: 0.1708 0.6733 0.3956
H: 0.3197 0.1614 0.6110
H: 0.3723 0.8938 0.1842
H: 0.4020 0.7163 0.0968
H: 0.4892 0.3822 0.6149
H: 0.4985 0.1893 0.5286
H: 0.5015 0.8107 0.4714
H: 0.5108 0.6178 0.3851
H: 0.5980 0.2837 0.9032
H: 0.6277 0.1062 0.8158
H: 0.6803 0.8386 0.3890
H: 0.8292 0.3267 0.6044
H: 0.8972 0.1674 0.7286
H: 0.9110 0.6082 0.2316
C: 0.0769 0.6898 0.2677
C: 0.3626 0.7556 0.1925
C: 0.4792 0.2452 0.6303
C: 0.5208 0.7548 0.3697
C: 0.6374 0.2444 0.8075
C: 0.9231 0.3102 0.7323
N: 0.1370 0.6341 0.1431
N: 0.8630 0.3659 0.8569
Cl: 0.1014 0.7705 0.7692
Cl: 0.3009 0.3019 0.1096
Cl: 0.6991 0.6981 0.8904
Cl: 0.8986 0.2295 0.2308

Top 12 peaks for 2θ = 5–70°, in order of rising 2θ:
2theta	I (rel.)
11.26	1000
11.94	468
13.28	768
13.91	331
14.11	170
15.27	417
17.94	278
20.53	254
24.02	681
24.44	260
25.49	163
31.79	174